Record 1
For Ac2IO5, a cell relaxed with GGA-PBE gives the computed X-ray diffraction stick pattern in this record (Cu Kα (weighted mean of Kα1 and Kα2)).
Lines closer than 0.1° are merged.

Cell: 10.0864 8.1012 7.2641 Å, 90.00 92.89 90.00°
Space group P2_1/c (No. 14)
Inequivalent atoms, fractional coordinates:
Ac1 0.0185 0.1228 0.2456 x4
Ac2 0.3432 0.1316 0.9688 x4
I1 0.3272 0.5993 0.9576 x4
O1 0.1047 0.6432 0.9244 x4
O2 0.1071 0.1068 0.9187 x4
O3 0.2723 0.1257 0.2889 x4
O4 0.3927 0.6793 0.5391 x4
O5 0.4211 0.0507 0.6360 x4

The 8 most intense peaks (10° ≤ 2θ ≤ 80°), by angle:
2θ 25.7, rel. 51; 2θ 26.5, rel. 64; 2θ 26.9, rel. 100; 2θ 30.5, rel. 55; 2θ 31.1, rel. 21; 2θ 43.6, rel. 22; 2θ 44.7, rel. 43; 2θ 52.8, rel. 29

=====

Record 2
For Tb2Dy, a cell relaxed with GGA-PBE gives the computed X-ray diffraction stick pattern in this record (Cu Kα (weighted mean of Kα1 and Kα2)).
Lines closer than 0.1° are merged.

Cell: 3.5637 3.5637 51.7112 Å, 90.00 90.00 120.00°
Space group R-3m (No. 166, hexagonal axes)
Inequivalent atoms, fractional coordinates:
Tb1 0.0000 0.0000 0.1387 x6
Tb2 0.0000 0.0000 0.3057 x6
Dy1 0.0000 0.0000 0.4165 x6

The 8 most intense peaks (10° ≤ 2θ ≤ 80°), by angle:
2θ 29.8, rel. 30; 2θ 31.1, rel. 50; 2θ 31.4, rel. 100; 2θ 34.8, rel. 78; 2θ 51.3, rel. 37; 2θ 53.3, rel. 22; 2θ 59.9, rel. 17; 2θ 61.2, rel. 44

=====

Record 3
For Mg6CuCO8, a cell relaxed with GGA-PBE gives the computed X-ray diffraction stick pattern in this record (Cu Kα (weighted mean of Kα1 and Kα2)).
Lines closer than 0.1° are merged.

Cell: 4.2147 4.2147 8.5107 Å, 90.00 90.00 90.00°
Space group P4/mmm (No. 123)
Inequivalent atoms, fractional coordinates:
Mg1 0.0000 0.0000 0.0000 x1
Mg2 0.0000 0.5000 0.2561 x4
Mg3 0.5000 0.5000 0.0000 x1
Cu1 0.0000 0.0000 0.5000 x1
C1 0.5000 0.5000 0.5000 x1
O1 0.0000 0.0000 0.2498 x2
O2 0.0000 0.5000 0.0000 x2
O3 0.0000 0.5000 0.5000 x2
O4 0.5000 0.5000 0.2511 x2

The 8 most intense peaks (10° ≤ 2θ ≤ 80°), by angle:
2θ 21.1, rel. 16; 2θ 23.6, rel. 25; 2θ 36.8, rel. 25; 2θ 42.5, rel. 51; 2θ 42.9, rel. 100; 2θ 62.0, rel. 56; 2θ 62.3, rel. 28; 2θ 78.3, rel. 25

=====

Record 4
For Ni3Pb2SeS, a cell relaxed with GGA-PBE gives the computed X-ray diffraction stick pattern in this record (Cu Kα (weighted mean of Kα1 and Kα2)).
Lines closer than 0.1° are merged.

Cell: 5.7007 5.7007 14.1063 Å, 90.00 90.00 120.00°
Space group R3m (No. 160, hexagonal axes)
Inequivalent atoms, fractional coordinates:
Ni1 0.1701 0.3402 0.0000 x9
Pb1 0.0000 0.0000 0.1638 x3
Pb2 0.0000 0.0000 0.6599 x3
Se1 0.0000 0.0000 0.8866 x3
S1 0.0000 0.0000 0.4365 x3

The 8 most intense peaks (10° ≤ 2θ ≤ 80°), by angle:
2θ 22.0, rel. 60; 2θ 31.2, rel. 93; 2θ 31.4, rel. 100; 2θ 38.3, rel. 28; 2θ 38.6, rel. 69; 2θ 44.8, rel. 87; 2θ 55.7, rel. 37; 2θ 65.5, rel. 29

=====

Record 5
For ReTc4Rh, a cell relaxed with GGA-PBE gives the computed X-ray diffraction stick pattern in this record (Cu Kα (weighted mean of Kα1 and Kα2)).
Lines closer than 0.1° are merged.

Cell: 4.3131 10.8814 7.5583 Å, 90.00 90.00 90.00°
Space group Imma (No. 74)
Inequivalent atoms, fractional coordinates:
Re1 0.0000 0.2500 0.1629 x4
Tc1 0.0000 0.9997 0.1672 x8
Tc2 0.0000 0.1272 0.4969 x8
Rh1 0.0000 0.2500 0.8353 x4

The 8 most intense peaks (10° ≤ 2θ ≤ 80°), by angle:
2θ 32.9, rel. 17; 2θ 40.9, rel. 42; 2θ 41.0, rel. 88; 2θ 41.5, rel. 100; 2θ 41.9, rel. 49; 2θ 54.0, rel. 16; 2θ 60.0, rel. 27; 2θ 75.5, rel. 24

=====

Record 6
For HoVRu, a cell relaxed with GGA-PBE gives the computed X-ray diffraction stick pattern in this record (Cu Kα (weighted mean of Kα1 and Kα2)).
Lines closer than 0.1° are merged.

Cell: 3.1538 3.1538 10.8201 Å, 90.00 90.00 90.00°
Space group I4mm (No. 107)
Inequivalent atoms, fractional coordinates:
Ho1 0.0000 0.0000 0.0000 x2
V1 0.0000 0.0000 0.6964 x2
Ru1 0.0000 0.0000 0.3093 x2

The 8 most intense peaks (10° ≤ 2θ ≤ 80°), by angle:
2θ 29.5, rel. 31; 2θ 33.1, rel. 15; 2θ 37.9, rel. 100; 2θ 40.4, rel. 47; 2θ 53.2, rel. 15; 2θ 58.5, rel. 15; 2θ 67.5, rel. 13; 2θ 71.9, rel. 30

=====

Record 7
For SrLa2GaRu, a cell relaxed with GGA-PBE gives the computed X-ray diffraction stick pattern in this record (Cu Kα (weighted mean of Kα1 and Kα2)).
Lines closer than 0.1° are merged.

Cell: 5.5065 5.5065 5.1751 Å, 90.00 90.00 90.00°
Space group P4/mmm (No. 123)
Inequivalent atoms, fractional coordinates:
Sr1 0.0000 0.0000 0.0000 x1
La1 0.0000 0.5000 0.5000 x2
Ga1 0.5000 0.5000 0.0000 x1
Ru1 0.5000 0.5000 0.5000 x1

The 8 most intense peaks (10° ≤ 2θ ≤ 80°), by angle:
2θ 17.1, rel. 37; 2θ 28.7, rel. 100; 2θ 32.5, rel. 95; 2θ 34.7, rel. 40; 2θ 46.7, rel. 34; 2θ 48.3, rel. 62; 2θ 55.7, rel. 31; 2θ 59.4, rel. 33

=====

Record 8
For Ag3H4Rh, a cell relaxed with GGA-PBE gives the computed X-ray diffraction stick pattern in this record (Cu Kα (weighted mean of Kα1 and Kα2)).
Lines closer than 0.1° are merged.

Cell: 4.2881 8.4790 4.6160 Å, 90.00 90.00 90.00°
Space group Imm2 (No. 44)
Inequivalent atoms, fractional coordinates:
Ag1 0.0000 0.0000 0.0000 x2
Ag2 0.0000 0.2550 0.5886 x4
H1 0.0000 0.2994 0.1300 x4
H2 0.2386 0.5000 0.8267 x4
Rh1 0.0000 0.5000 0.0985 x2

The 8 most intense peaks (10° ≤ 2θ ≤ 80°), by angle:
2θ 35.6, rel. 100; 2θ 39.0, rel. 16; 2θ 42.1, rel. 17; 2θ 42.7, rel. 16; 2θ 58.8, rel. 9; 2θ 61.5, rel. 10; 2θ 72.8, rel. 11; 2θ 73.5, rel. 11